Structure and simulated X-ray powder pattern of V4CrNiO12 (a PBE+U-relaxed structure; a wavelength of 1.5418 Å).

Peak list (6 most intense, 2θ from 15° to 90°, in order of rising 2θ)
2θ/deg, d (Å), I_rel
18.58, 4.777, 38
19.60, 4.530, 46
23.82, 3.736, 30
28.29, 3.155, 100
30.21, 2.959, 63
33.14, 2.703, 42

Cell: 10.037 9.060 5.778 Å, 90.00 110.68 90.00°
Space group C2 (No. 5)
Symmetry-distinct sites (fractional):
V 0.203 0.000 0.485 (multiplicity 4)
V 0.203 0.810 0.987 (multiplicity 4)
Cr 0.000 0.320 0.500 (multiplicity 2)
Ni 0.000 0.489 0.000 (multiplicity 2)
O 0.111 0.324 0.877 (multiplicity 4)
O 0.111 0.482 0.391 (multiplicity 4)
O 0.135 0.905 0.190 (multiplicity 4)
O 0.138 0.902 0.696 (multiplicity 4)
O 0.142 0.178 0.451 (multiplicity 4)
O 0.144 0.635 0.958 (multiplicity 4)



Structure and simulated X-ray powder pattern of ZnCr4NiO8 (a PBE+U-relaxed structure; a wavelength of 1.5418 Å).

Peak list (6 most intense, 2θ from 15° to 90°, in order of rising 2θ)
2θ/deg, d (Å), I_rel
29.85, 2.993, 38
35.16, 2.553, 100
42.72, 2.116, 14
56.48, 1.629, 36
62.01, 1.497, 43
88.77, 1.102, 16

Cell: 8.466 8.466 8.466 Å, 90.00 90.00 90.00°
Space group F-43m (No. 216)
Symmetry-distinct sites (fractional):
Zn 0.000 0.000 0.000 (multiplicity 4)
Cr 0.125 0.125 0.375 (multiplicity 16)
Ni 0.250 0.250 0.750 (multiplicity 4)
O 0.115 0.115 0.615 (multiplicity 16)
O 0.136 0.136 0.136 (multiplicity 16)



Structure and simulated X-ray powder pattern of Cr2O3 (a PBE+U-relaxed structure; a wavelength of 1.5418 Å).

Peak list (6 most intense, 2θ from 15° to 90°, in order of rising 2θ)
2θ/deg, d (Å), I_rel
23.99, 3.710, 66
32.91, 2.721, 100
35.41, 2.535, 92
49.12, 1.855, 41
53.66, 1.708, 90
63.57, 1.464, 42

Cell: 5.0698 5.0698 13.8716 Å, 90.00 90.00 120.00°
Space group R-3c (No. 167, hexagonal axes)
Symmetry-distinct sites (fractional):
Cr 0.0000 0.0000 0.1519 (multiplicity 12)
O 0.0000 0.3038 0.2500 (multiplicity 18)



Structure and simulated X-ray powder pattern of Cr3O (a PBE+U-relaxed structure; a wavelength of 1.5418 Å).

Peak list (6 most intense, 2θ from 15° to 90°, in order of rising 2θ)
2θ/deg, d (Å), I_rel
32.60, 2.747, 16
37.95, 2.371, 100
38.33, 2.348, 17
51.18, 1.785, 18
58.18, 1.586, 20
69.06, 1.360, 14

Cell: 5.4932 5.4932 14.0884 Å, 90.00 90.00 120.00°
Space group R-3c (No. 167, hexagonal axes)
Symmetry-distinct sites (fractional):
Cr 0.0000 0.3401 0.2500 (multiplicity 18)
O 0.0000 0.0000 0.0000 (multiplicity 6)



Structure and simulated X-ray powder pattern of Cr3O8 (a PBE+U-relaxed structure; a wavelength of 1.5418 Å).

Peak list (6 most intense, 2θ from 15° to 90°, in order of rising 2θ)
2θ/deg, d (Å), I_rel
17.20, 5.154, 13
17.62, 5.034, 100
23.48, 3.789, 13
36.67, 2.450, 23
39.51, 2.281, 11
45.62, 1.989, 26

Cell: 10.830 6.000 4.906 Å, 90.00 111.61 90.00°
Space group C2/m (No. 12)
Symmetry-distinct sites (fractional):
Cr 0.000 0.000 0.000 (multiplicity 2)
Cr 0.000 0.270 0.500 (multiplicity 4)
O 0.095 0.221 0.885 (multiplicity 8)
O 0.099 0.000 0.409 (multiplicity 4)
O 0.101 0.500 0.447 (multiplicity 4)



Structure and simulated X-ray powder pattern of Cr4O9 (a PBE+U-relaxed structure; a wavelength of 1.5418 Å).

Peak list (6 most intense, 2θ from 15° to 90°, in order of rising 2θ)
2θ/deg, d (Å), I_rel
16.53, 5.363, 100
19.61, 4.526, 21
28.93, 3.086, 77
33.58, 2.669, 42
41.30, 2.186, 23
48.23, 1.887, 29

Cell: 8.439 8.439 5.363 Å, 90.00 90.00 90.00°
Space group P4/n (No. 85, origin choice 2)
Symmetry-distinct sites (fractional):
Cr 0.034 0.843 0.110 (multiplicity 8)
O 0.021 0.832 0.408 (multiplicity 8)
O 0.032 0.358 0.011 (multiplicity 8)
O 0.250 0.750 0.000 (multiplicity 2)



Structure and simulated X-ray powder pattern of Cr8O21 (a PBE+U-relaxed structure; a wavelength of 1.5418 Å).

Peak list (6 most intense, 2θ from 15° to 90°, in order of rising 2θ)
2θ/deg, d (Å), I_rel
17.20, 5.156, 91
19.31, 4.598, 92
22.14, 4.014, 100
24.03, 3.703, 78
28.07, 3.179, 53
31.41, 2.848, 55

Cell: 5.458 6.748 12.889 Å, 74.97 87.48 77.08°
Space group P-1 (No. 2)
Symmetry-distinct sites (fractional):
Cr 0.141 0.286 0.426 (multiplicity 2)
Cr 0.265 0.706 0.972 (multiplicity 2)
Cr 0.300 0.734 0.404 (multiplicity 2)
Cr 0.347 0.862 0.751 (multiplicity 2)
O 0.023 0.619 0.922 (multiplicity 2)
O 0.091 0.602 0.445 (multiplicity 2)
O 0.153 0.724 0.674 (multiplicity 2)
O 0.168 0.989 0.423 (multiplicity 2)
O 0.189 0.882 0.081 (multiplicity 2)
O 0.239 0.105 0.759 (multiplicity 2)
O 0.366 0.631 0.280 (multiplicity 2)
O 0.369 0.210 0.303 (multiplicity 2)
O 0.375 0.821 0.882 (multiplicity 2)
O 0.437 0.296 0.523 (multiplicity 2)
O 0.500 0.500 0.000 (multiplicity 1)